Record 1
Mg2ZnB2Ir5: simulated PXRD pattern (copper Kα), based on a structure optimized by DFT (PBE).
Peak positions follow from Bragg's law for the DFT cell and can differ from measured ones.

Cell and atoms:
abc: 9.4907 9.4907 2.9472
angles: 90.00 90.00 90.00
Fractional coordinates of all 20 atoms:
Mg1 0.1768 0.3232 0.0000
Mg2 0.3232 0.8232 0.0000
Mg3 0.6768 0.1768 0.0000
Mg4 0.8232 0.6768 0.0000
Zn1 0.0000 0.0000 0.0000
Zn2 0.5000 0.5000 0.0000
B1 0.1269 0.6269 0.0000
B2 0.3731 0.1269 0.0000
B3 0.6269 0.8731 0.0000
B4 0.8731 0.3731 0.0000
Ir1 0.0000 0.5000 0.5000
Ir2 0.0705 0.7844 0.5000
Ir3 0.2156 0.0705 0.5000
Ir4 0.2844 0.5705 0.5000
Ir5 0.4295 0.2844 0.5000
Ir6 0.5000 0.0000 0.5000
Ir7 0.5705 0.7156 0.5000
Ir8 0.7156 0.4295 0.5000
Ir9 0.7844 0.9295 0.5000
Ir10 0.9295 0.2156 0.5000

Main lines, sorted by position (10 to 90 degrees two-theta):
2θ (°)	I_rel
30.33	91
34.06	56
39.13	80
43.01	100
46.24	59
50.30	55



Record 2
NdB2Ir3: simulated PXRD pattern (copper Kα), based on a structure optimized by DFT (PBE).
Peak positions follow from Bragg's law for the DFT cell and can differ from measured ones.

Cell and atoms:
abc: 5.5641 5.5641 3.1180
angles: 90.00 90.00 120.00
Fractional coordinates of all 6 atoms:
Nd1 0.0000 0.0000 0.0000
B1 0.3333 0.6667 0.0000
B2 0.6667 0.3333 0.0000
Ir1 0.0000 0.5000 0.5000
Ir2 0.5000 0.0000 0.5000
Ir3 0.5000 0.5000 0.5000

Main lines, sorted by position (10 to 90 degrees two-theta):
2θ (°)	I_rel
34.25	54
37.32	100
43.60	32
47.70	38
58.71	23
72.17	30



Record 3
PrB4Ir2Os2: simulated PXRD pattern (copper Kα), based on a structure optimized by DFT (PBE).
Peak positions follow from Bragg's law for the DFT cell and can differ from measured ones.

Cell and atoms:
abc: 7.6666 7.6666 4.0054
angles: 90.00 90.00 90.00
Fractional coordinates of all 18 atoms:
Pr1 0.0000 0.5000 0.0000
Pr2 0.5000 0.0000 0.5000
B1 0.1614 0.7848 0.6133
B2 0.2152 0.1614 0.1133
B3 0.2776 0.3380 0.3933
B4 0.3380 0.7224 0.8933
B5 0.6620 0.2776 0.8933
B6 0.7224 0.6620 0.3933
B7 0.7848 0.8386 0.1133
B8 0.8386 0.2152 0.6133
Ir1 0.3450 0.6093 0.3896
Ir2 0.3907 0.3450 0.8896
Ir3 0.6093 0.6550 0.8896
Ir4 0.6550 0.3907 0.3896
Os1 0.1081 0.1460 0.6117
Os2 0.1460 0.8919 0.1117
Os3 0.8540 0.1081 0.1117
Os4 0.8919 0.8540 0.6117

Main lines, sorted by position (10 to 90 degrees two-theta):
2θ (°)	I_rel
16.35	29
27.69	22
34.43	100
37.08	61
40.17	30
46.89	26



Record 4
PrB2Ir2: simulated PXRD pattern (copper Kα), based on a structure optimized by DFT (PBE).
Peak positions follow from Bragg's law for the DFT cell and can differ from measured ones.

Cell and atoms:
abc: 7.1549 6.1604 5.6105
angles: 74.70 56.15 49.15
Fractional coordinates of all 10 atoms:
Pr1 0.1250 0.1250 0.1250
Pr2 0.8750 0.8750 0.8750
B1 0.1976 0.5524 0.1976
B2 0.4476 0.8024 0.4476
B3 0.5524 0.1976 0.5524
B4 0.8024 0.4476 0.8024
Ir1 0.2457 0.2457 0.5043
Ir2 0.4957 0.4957 0.7543
Ir3 0.5043 0.5043 0.2457
Ir4 0.7543 0.7543 0.4957

Main lines, sorted by position (10 to 90 degrees two-theta):
2θ (°)	I_rel
19.30	27
30.53	100
35.27	100
38.06	41
40.97	50
45.86	25



Record 5
PrB2Ir2: simulated PXRD pattern (copper Kα), based on a structure optimized by DFT (PBE).
Peak positions follow from Bragg's law for the DFT cell and can differ from measured ones.

Cell and atoms:
abc: 8.4395 8.4373 6.5667
angles: 67.12 67.08 45.80
Fractional coordinates of all 20 atoms:
Pr1 0.0000 0.0000 0.0000
Pr2 0.0000 0.0000 0.5000
Pr3 0.0000 0.5000 0.0000
Pr4 0.5000 0.0000 0.0000
B1 0.2663 0.2694 0.6203
B2 0.2694 0.2663 0.3439
B3 0.3439 0.6203 0.2694
B4 0.3797 0.6561 0.7337
B5 0.6203 0.3439 0.2663
B6 0.6561 0.3797 0.7306
B7 0.7306 0.7337 0.6561
B8 0.7337 0.7306 0.3797
Ir1 0.0562 0.6306 0.4072
Ir2 0.3694 0.9438 0.5940
Ir3 0.4060 0.4072 0.6306
Ir4 0.4072 0.4060 0.0562
Ir5 0.5928 0.5940 0.9438
Ir6 0.5940 0.5928 0.3694
Ir7 0.6306 0.0562 0.4060
Ir8 0.9438 0.3694 0.5928

Main lines, sorted by position (10 to 90 degrees two-theta):
2θ (°)	I_rel
14.88	34
30.03	100
34.63	62
36.07	38
38.79	80
44.56	50



Record 6
PrB2Ir3: simulated PXRD pattern (copper Kα), based on a structure optimized by DFT (PBE).
Peak positions follow from Bragg's law for the DFT cell and can differ from measured ones.

Cell and atoms:
abc: 5.5379 5.5379 3.1768
angles: 90.00 90.00 120.00
Fractional coordinates of all 6 atoms:
Pr1 0.0000 0.0000 0.0000
B1 0.3333 0.6667 0.0000
B2 0.6667 0.3333 0.0000
Ir1 0.0000 0.5000 0.5000
Ir2 0.5000 0.0000 0.5000
Ir3 0.5000 0.5000 0.5000

Main lines, sorted by position (10 to 90 degrees two-theta):
2θ (°)	I_rel
28.09	24
33.85	56
37.51	100
43.35	32
47.51	39
71.21	31



Record 7
PuB2Ir3: simulated PXRD pattern (copper Kα), based on a structure optimized by DFT (PBE).
Peak positions follow from Bragg's law for the DFT cell and can differ from measured ones.

Cell and atoms:
abc: 5.4796 5.4796 3.1246
angles: 90.00 90.00 120.00
Fractional coordinates of all 6 atoms:
Pu1 0.0000 0.0000 0.0000
B1 0.3333 0.6667 0.0000
B2 0.6667 0.3333 0.0000
Ir1 0.0000 0.5000 0.5000
Ir2 0.5000 0.0000 0.5000
Ir3 0.5000 0.5000 0.5000

Main lines, sorted by position (10 to 90 degrees two-theta):
2θ (°)	I_rel
34.36	71
37.92	100
43.95	41
59.42	31
68.49	19
72.43	31



Record 8
ScB2Ir3: simulated PXRD pattern (copper Kα), based on a structure optimized by DFT (PBE).
Peak positions follow from Bragg's law for the DFT cell and can differ from measured ones.

Cell and atoms:
abc: 5.4674 5.4674 3.0630
angles: 90.00 90.00 120.00
Fractional coordinates of all 6 atoms:
Sc1 0.0000 0.0000 0.0000
B1 0.3333 0.6667 0.0000
B2 0.6667 0.3333 0.0000
Ir1 0.0000 0.5000 0.5000
Ir2 0.5000 0.0000 0.5000
Ir3 0.5000 0.5000 0.5000

Main lines, sorted by position (10 to 90 degrees two-theta):
2θ (°)	I_rel
18.74	37
29.16	47
34.89	35
38.01	100
48.61	78
73.67	29



Record 9
ScB4Ir3: simulated PXRD pattern (copper Kα), based on a structure optimized by DFT (PBE).
Peak positions follow from Bragg's law for the DFT cell and can differ from measured ones.

Cell and atoms:
abc: 7.6307 7.6307 3.4673
angles: 90.00 90.00 120.00
Fractional coordinates of all 16 atoms:
Sc1 0.3333 0.6667 0.2500
Sc2 0.6667 0.3333 0.7500
B1 0.0000 0.0000 0.0000
B2 0.0000 0.0000 0.5000
B3 0.0501 0.5984 0.7500
B4 0.4016 0.4518 0.7500
B5 0.4518 0.0501 0.2500
B6 0.5482 0.9499 0.7500
B7 0.5984 0.5482 0.2500
B8 0.9499 0.4016 0.2500
Ir1 0.0760 0.3295 0.7500
Ir2 0.2535 0.9240 0.7500
Ir3 0.3295 0.2535 0.2500
Ir4 0.6705 0.7465 0.7500
Ir5 0.7465 0.0760 0.2500
Ir6 0.9240 0.6705 0.2500

Main lines, sorted by position (10 to 90 degrees two-theta):
2θ (°)	I_rel
23.31	40
34.97	100
35.96	31
37.60	77
49.75	48
56.82	34



Record 10
Sc2B6Ir: simulated PXRD pattern (copper Kα), based on a structure optimized by DFT (PBE).
Peak positions follow from Bragg's law for the DFT cell and can differ from measured ones.

Cell and atoms:
abc: 8.9272 11.2156 3.4704
angles: 90.00 90.00 90.00
Fractional coordinates of all 36 atoms:
Sc1 0.0549 0.1245 0.0000
Sc2 0.1823 0.4137 0.0000
Sc3 0.3177 0.9137 0.0000
Sc4 0.4451 0.6245 0.0000
Sc5 0.5549 0.3755 0.0000
Sc6 0.6823 0.0863 0.0000
Sc7 0.8177 0.5863 0.0000
Sc8 0.9451 0.8755 0.0000
B1 0.0195 0.2866 0.5000
B2 0.0543 0.5635 0.5000
B3 0.1038 0.9715 0.5000
B4 0.1321 0.8185 0.5000
B5 0.2032 0.2362 0.5000
B6 0.2467 0.0772 0.5000
B7 0.2533 0.5772 0.5000
B8 0.2968 0.7362 0.5000
B9 0.3679 0.3185 0.5000
B10 0.3962 0.4715 0.5000
B11 0.4457 0.0635 0.5000
B12 0.4805 0.7866 0.5000
B13 0.5195 0.2134 0.5000
B14 0.5543 0.9365 0.5000
B15 0.6038 0.5285 0.5000
B16 0.6321 0.6815 0.5000
B17 0.7032 0.2638 0.5000
B18 0.7467 0.4228 0.5000
B19 0.7533 0.9228 0.5000
B20 0.7968 0.7638 0.5000
B21 0.8679 0.1815 0.5000
B22 0.8962 0.0285 0.5000
B23 0.9457 0.4365 0.5000
B24 0.9805 0.7134 0.5000
Ir1 0.1407 0.6795 0.0000
Ir2 0.3593 0.1795 0.0000
Ir3 0.6407 0.8205 0.0000
Ir4 0.8593 0.3205 0.0000

Main lines, sorted by position (10 to 90 degrees two-theta):
2θ (°)	I_rel
18.69	70
21.43	100
25.67	93
33.68	57
40.78	65
42.68	66



Record 11
SmB2Ir2: simulated PXRD pattern (copper Kα), based on a structure optimized by DFT (PBE).
Peak positions follow from Bragg's law for the DFT cell and can differ from measured ones.

Cell and atoms:
abc: 8.3729 8.3651 6.5048
angles: 67.19 67.07 45.74
Fractional coordinates of all 20 atoms:
Sm1 0.0000 0.0000 0.0000
Sm2 0.0000 0.0000 0.5000
Sm3 0.0000 0.5000 0.0000
Sm4 0.5000 0.0000 0.0000
B1 0.2654 0.2680 0.6240
B2 0.2680 0.2654 0.3426
B3 0.3426 0.6240 0.2680
B4 0.3760 0.6574 0.7346
B5 0.6240 0.3426 0.2654
B6 0.6574 0.3760 0.7320
B7 0.7320 0.7346 0.6574
B8 0.7346 0.7320 0.3760
Ir1 0.0560 0.6323 0.4073
Ir2 0.3677 0.9440 0.5956
Ir3 0.4044 0.4073 0.6323
Ir4 0.4073 0.4044 0.0560
Ir5 0.5927 0.5956 0.9440
Ir6 0.5956 0.5927 0.3677
Ir7 0.6323 0.0560 0.4044
Ir8 0.9440 0.3677 0.5927

Main lines, sorted by position (10 to 90 degrees two-theta):
2θ (°)	I_rel
30.31	100
34.92	62
36.41	41
39.11	41
39.23	39
44.96	50



Record 12
SmB2Ir2: simulated PXRD pattern (copper Kα), based on a structure optimized by DFT (PBE).
Peak positions follow from Bragg's law for the DFT cell and can differ from measured ones.

Cell and atoms:
abc: 7.1638 6.1640 5.5600
angles: 75.13 56.27 48.60
Fractional coordinates of all 10 atoms:
Sm1 0.1250 0.1250 0.1250
Sm2 0.8750 0.8750 0.8750
B1 0.1960 0.5540 0.1960
B2 0.4460 0.8040 0.4460
B3 0.5540 0.1960 0.5540
B4 0.8040 0.4460 0.8040
Ir1 0.2467 0.2467 0.5033
Ir2 0.4967 0.4967 0.7533
Ir3 0.5033 0.5033 0.2467
Ir4 0.7533 0.7533 0.4967

Main lines, sorted by position (10 to 90 degrees two-theta):
2θ (°)	I_rel
30.55	100
35.80	97
38.27	42
41.09	50
45.70	27
53.78	39